Entry 1:
Starting from a DFT-relaxed cell (GGA-PBE, Alexandria), the PXRD pattern of Cs3Ca2Br5Cl2 was simulated for Cu Kα (weighted mean of Kα1 and Kα2).
Lines closer than 0.1° are merged.

Peak list (6 most intense, 10 to 90 degrees two-theta, in order of rising 2θ)
d = 4.074 Å, 2θ = 21.8°, rel. 59
d = 3.548 Å, 2θ = 25.1°, rel. 50
d = 3.105 Å, 2θ = 28.8°, rel. 100
d = 2.886 Å, 2θ = 31.0°, rel. 86
d = 2.035 Å, 2θ = 44.5°, rel. 47
d = 1.705 Å, 2θ = 53.7°, rel. 34

Cell and atoms:
```
Cs3Ca2Br5Cl2
1.0
-2.886 2.886 14.352
2.886 -2.886 14.352
2.886 2.886 -14.352
Cs Ca Br Cl
3 2 5 2
Direct
0.000 0.000 0.000 Cs
0.185 0.185 0.000 Cs
0.815 0.815 0.000 Cs
0.398 0.398 0.000 Ca
0.602 0.602 0.000 Ca
0.098 0.598 0.500 Br
0.402 0.902 0.500 Br
0.500 0.500 0.000 Br
0.598 0.098 0.500 Br
0.902 0.402 0.500 Br
0.304 0.304 0.000 Cl
0.696 0.696 0.000 Cl
```

---

Entry 2:
Starting from a DFT-relaxed cell (GGA-PBE, Alexandria), the PXRD pattern of CaInBrCl2 was simulated for Cu Kα (weighted mean of Kα1 and Kα2).
Lines closer than 0.1° are merged.

Peak list (6 most intense, 10 to 90 degrees two-theta, in order of rising 2θ)
d = 4.679 Å, 2θ = 19.0°, rel. 42
d = 3.824 Å, 2θ = 23.3°, rel. 51
d = 3.705 Å, 2θ = 24.0°, rel. 100
d = 2.610 Å, 2θ = 34.4°, rel. 39
d = 2.582 Å, 2θ = 34.8°, rel. 78
d = 2.210 Å, 2θ = 40.8°, rel. 41

Cell and atoms:
```
CaInBrCl2
1.0
7.633 0.000 0.000
0.000 4.466 0.000
-2.351 0.000 9.358
Ca In Br Cl
2 2 2 4
Direct
0.243 0.250 0.439 Ca
0.757 0.750 0.561 Ca
0.281 0.750 0.009 In
0.719 0.250 0.991 In
0.164 0.750 0.624 Br
0.836 0.250 0.376 Br
0.122 0.250 0.134 Cl
0.423 0.750 0.354 Cl
0.577 0.250 0.646 Cl
0.878 0.750 0.866 Cl
```

---

Entry 3:
Starting from a DFT-relaxed cell (GGA-PBE, Alexandria), the PXRD pattern of CaInBr4Cl was simulated for Cu Kα (weighted mean of Kα1 and Kα2).
Lines closer than 0.1° are merged.

Peak list (6 most intense, 10 to 90 degrees two-theta, in order of rising 2θ)
d = 6.805 Å, 2θ = 13.0°, rel. 45
d = 5.397 Å, 2θ = 16.4°, rel. 100
d = 4.825 Å, 2θ = 18.4°, rel. 67
d = 3.927 Å, 2θ = 22.6°, rel. 42
d = 2.995 Å, 2θ = 29.8°, rel. 88
d = 2.379 Å, 2θ = 37.8°, rel. 48

Cell and atoms:
```
CaInBr4Cl
1.0
5.341 -5.397 0.000
5.341 5.397 0.000
-3.306 0.000 10.599
Ca In Br Cl
2 2 8 2
Direct
0.189 0.189 0.023 Ca
0.811 0.811 0.977 Ca
0.349 0.349 0.738 In
0.651 0.651 0.262 In
0.135 0.488 0.885 Br
0.194 0.194 0.523 Br
0.412 0.412 0.262 Br
0.488 0.135 0.885 Br
0.512 0.865 0.115 Br
0.588 0.588 0.738 Br
0.806 0.806 0.477 Br
0.865 0.512 0.115 Br
0.031 0.031 0.166 Cl
0.969 0.969 0.834 Cl
```

---

Entry 4:
Starting from a DFT-relaxed cell (GGA-PBE, Alexandria), the PXRD pattern of K2CaBr3Cl was simulated for Cu Kα (weighted mean of Kα1 and Kα2).
Lines closer than 0.1° are merged.

Peak list (6 most intense, 10 to 90 degrees two-theta, in order of rising 2θ)
d = 3.891 Å, 2θ = 22.9°, rel. 45
d = 3.538 Å, 2θ = 25.2°, rel. 77
d = 2.870 Å, 2θ = 31.2°, rel. 97
d = 2.833 Å, 2θ = 31.6°, rel. 100
d = 2.677 Å, 2θ = 33.5°, rel. 46
d = 1.946 Å, 2θ = 46.7°, rel. 63

Cell and atoms:
```
K2CaBr3Cl
1.0
-2.677 2.833 8.501
2.677 -2.833 8.501
2.677 2.833 -8.501
K Ca Br Cl
2 1 3 1
Direct
0.141 0.141 0.000 K
0.859 0.859 0.000 K
0.500 0.500 0.000 Ca
0.000 0.500 0.500 Br
0.331 0.331 0.000 Br
0.669 0.669 0.000 Br
0.500 0.000 0.500 Cl
```

---

Entry 5:
Starting from a DFT-relaxed cell (GGA-PBE, Alexandria), the PXRD pattern of Ca3MnBr6Cl2 was simulated for Cu Kα (weighted mean of Kα1 and Kα2).
Lines closer than 0.1° are merged.

Peak list (6 most intense, 10 to 90 degrees two-theta, in order of rising 2θ)
d = 3.163 Å, 2θ = 28.2°, rel. 42
d = 3.147 Å, 2θ = 28.4°, rel. 52
d = 3.062 Å, 2θ = 29.2°, rel. 100
d = 2.339 Å, 2θ = 38.5°, rel. 30
d = 2.057 Å, 2θ = 44.0°, rel. 26
d = 2.033 Å, 2θ = 44.6°, rel. 43

Cell and atoms:
```
Ca3MnBr6Cl2
1.0
7.032 -4.114 0.000
7.032 4.114 0.000
-0.412 0.000 6.399
Ca Mn Br Cl
3 1 6 2
Direct
0.000 0.000 0.000 Ca
0.000 0.500 0.500 Ca
0.500 0.000 0.500 Ca
0.500 0.500 0.500 Mn
0.176 0.656 0.252 Br
0.344 0.824 0.748 Br
0.351 0.351 0.737 Br
0.649 0.649 0.263 Br
0.656 0.176 0.252 Br
0.824 0.344 0.748 Br
0.166 0.166 0.262 Cl
0.834 0.834 0.738 Cl
```

---

Entry 6:
Starting from a DFT-relaxed cell (GGA-PBE, Alexandria), the PXRD pattern of Rb2CaBrCl6 was simulated for Cu Kα (weighted mean of Kα1 and Kα2).
Lines closer than 0.1° are merged.

Peak list (6 most intense, 10 to 90 degrees two-theta, in order of rising 2θ)
d = 4.133 Å, 2θ = 21.5°, rel. 50
d = 3.861 Å, 2θ = 23.0°, rel. 85
d = 3.222 Å, 2θ = 27.7°, rel. 69
d = 2.923 Å, 2θ = 30.6°, rel. 100
d = 2.330 Å, 2θ = 38.6°, rel. 40
d = 1.930 Å, 2θ = 47.1°, rel. 52

Cell and atoms:
```
Rb2CaBrCl6
1.0
-4.133 4.133 5.142
4.133 -4.133 5.142
4.133 4.133 -5.142
Rb Ca Br Cl
2 1 1 6
Direct
0.250 0.750 0.500 Rb
0.750 0.250 0.500 Rb
0.000 0.000 0.000 Ca
0.500 0.500 0.000 Br
0.227 0.227 0.455 Cl
0.227 0.773 0.000 Cl
0.272 0.272 0.000 Cl
0.728 0.728 0.000 Cl
0.773 0.227 0.000 Cl
0.773 0.773 0.545 Cl
```

---

Entry 7:
Starting from a DFT-relaxed cell (GGA-PBE, Alexandria), the PXRD pattern of Rb3Ca2Br2Cl5 was simulated for Cu Kα (weighted mean of Kα1 and Kα2).
Lines closer than 0.1° are merged.

Peak list (6 most intense, 10 to 90 degrees two-theta, in order of rising 2θ)
d = 3.827 Å, 2θ = 23.2°, rel. 83
d = 2.972 Å, 2θ = 30.1°, rel. 85
d = 2.830 Å, 2θ = 31.6°, rel. 38
d = 2.706 Å, 2θ = 33.1°, rel. 100
d = 1.956 Å, 2θ = 46.4°, rel. 48
d = 1.914 Å, 2θ = 47.5°, rel. 34

Cell and atoms:
```
Rb3Ca2Br2Cl5
1.0
-2.706 2.706 14.150
2.706 -2.706 14.150
2.706 2.706 -14.150
Rb Ca Br Cl
3 2 2 5
Direct
0.000 0.000 0.000 Rb
0.180 0.180 0.000 Rb
0.820 0.820 0.000 Rb
0.403 0.403 0.000 Ca
0.597 0.597 0.000 Ca
0.302 0.302 0.000 Br
0.698 0.698 0.000 Br
0.094 0.594 0.500 Cl
0.406 0.906 0.500 Cl
0.500 0.500 0.000 Cl
0.594 0.094 0.500 Cl
0.906 0.406 0.500 Cl
```

---

Entry 8:
Starting from a DFT-relaxed cell (GGA-PBE, Alexandria), the PXRD pattern of CaCoBr was simulated for Cu Kα (weighted mean of Kα1 and Kα2).
Lines closer than 0.1° are merged.

Peak list (6 most intense, 10 to 90 degrees two-theta, in order of rising 2θ)
d = 3.917 Å, 2θ = 22.7°, rel. 58
d = 3.341 Å, 2θ = 26.7°, rel. 43
d = 2.838 Å, 2θ = 31.5°, rel. 47
d = 2.805 Å, 2θ = 31.9°, rel. 100
d = 2.341 Å, 2θ = 38.5°, rel. 41
d = 1.960 Å, 2θ = 46.3°, rel. 100

Cell and atoms:
```
CaCoBr
1.0
3.922 0.000 0.000
1.961 3.397 0.000
0.156 2.149 11.752
Ca Co Br
2 2 2
Direct
0.052 0.382 0.187 Ca
0.948 0.618 0.813 Ca
0.333 0.833 0.000 Co
0.667 0.167 0.000 Co
0.241 0.046 0.664 Br
0.759 0.954 0.336 Br
```

---

Entry 9:
Starting from a DFT-relaxed cell (GGA-PBE, Alexandria), the PXRD pattern of Cs4Ca3Br10 was simulated for Cu Kα (weighted mean of Kα1 and Kα2).
Lines closer than 0.1° are merged.

Peak list (6 most intense, 10 to 90 degrees two-theta, in order of rising 2θ)
d = 3.503 Å, 2θ = 25.4°, rel. 39
d = 3.194 Å, 2θ = 27.9°, rel. 100
d = 2.938 Å, 2θ = 30.4°, rel. 34
d = 2.882 Å, 2θ = 31.0°, rel. 85
d = 2.057 Å, 2θ = 44.0°, rel. 48
d = 1.718 Å, 2θ = 53.3°, rel. 32

Cell and atoms:
```
Cs4Ca3Br10
1.0
-2.882 2.882 20.564
2.882 -2.882 20.564
2.882 2.882 -20.564
Cs Ca Br
4 3 10
Direct
0.069 0.069 0.000 Cs
0.201 0.201 0.000 Cs
0.799 0.799 0.000 Cs
0.931 0.931 0.000 Cs
0.358 0.358 0.000 Ca
0.500 0.500 0.000 Ca
0.642 0.642 0.000 Ca
0.000 0.500 0.500 Br
0.138 0.638 0.500 Br
0.289 0.289 0.000 Br
0.362 0.862 0.500 Br
0.430 0.430 0.000 Br
0.500 0.000 0.500 Br
0.570 0.570 0.000 Br
0.638 0.138 0.500 Br
0.711 0.711 0.000 Br
0.862 0.362 0.500 Br
```

---

Entry 10:
Starting from a DFT-relaxed cell (GGA-PBE, Alexandria), the PXRD pattern of CsCa2DyBr8 was simulated for Cu Kα (weighted mean of Kα1 and Kα2).
Lines closer than 0.1° are merged.

Peak list (6 most intense, 10 to 90 degrees two-theta, in order of rising 2θ)
d = 4.966 Å, 2θ = 17.9°, rel. 51
d = 3.376 Å, 2θ = 26.4°, rel. 100
d = 3.171 Å, 2θ = 28.1°, rel. 51
d = 2.584 Å, 2θ = 34.7°, rel. 53
d = 2.557 Å, 2θ = 35.1°, rel. 45
d = 2.110 Å, 2θ = 42.9°, rel. 55

Cell and atoms:
```
CsCa2DyBr8
1.0
6.829 0.000 0.000
0.136 7.089 0.000
0.017 0.011 9.365
Cs Ca Dy Br
1 2 1 8
Direct
0.000 0.000 0.000 Cs
0.500 0.500 0.248 Ca
0.500 0.500 0.752 Ca
0.000 0.000 0.500 Dy
0.246 0.831 0.703 Br
0.247 0.832 0.297 Br
0.257 0.324 0.500 Br
0.269 0.400 0.000 Br
0.731 0.600 0.000 Br
0.743 0.676 0.500 Br
0.753 0.168 0.703 Br
0.754 0.169 0.297 Br
```

---

Entry 11:
Starting from a DFT-relaxed cell (GGA-PBE, Alexandria), the PXRD pattern of Cs3Li2CaBr6 was simulated for Cu Kα (weighted mean of Kα1 and Kα2).
Lines closer than 0.1° are merged.

Peak list (6 most intense, 10 to 90 degrees two-theta, in order of rising 2θ)
d = 3.262 Å, 2θ = 27.3°, rel. 100
d = 3.149 Å, 2θ = 28.3°, rel. 24
d = 2.799 Å, 2θ = 32.0°, rel. 73
d = 2.007 Å, 2θ = 45.2°, rel. 28
d = 1.953 Å, 2θ = 46.5°, rel. 23
d = 1.692 Å, 2θ = 54.2°, rel. 23

Cell and atoms:
```
Cs3Li2CaBr6
1.0
8.027 0.000 0.000
-4.013 6.951 0.000
0.000 0.000 9.446
Cs Li Ca Br
3 2 1 6
Direct
0.000 0.000 0.000 Cs
0.333 0.667 0.651 Cs
0.667 0.333 0.349 Cs
0.333 0.667 0.221 Li
0.667 0.333 0.779 Li
0.000 0.000 0.500 Ca
0.166 0.332 0.314 Br
0.166 0.834 0.314 Br
0.332 0.166 0.686 Br
0.668 0.834 0.314 Br
0.834 0.166 0.686 Br
0.834 0.668 0.686 Br
```

---

Entry 12:
Starting from a DFT-relaxed cell (GGA-PBE, Alexandria), the PXRD pattern of CsLi2Ca2Br7 was simulated for Cu Kα (weighted mean of Kα1 and Kα2).
Lines closer than 0.1° are merged.

Peak list (6 most intense, 10 to 90 degrees two-theta, in order of rising 2θ)
d = 3.320 Å, 2θ = 26.9°, rel. 100
d = 2.875 Å, 2θ = 31.1°, rel. 88
d = 2.033 Å, 2θ = 44.6°, rel. 63
d = 1.734 Å, 2θ = 52.8°, rel. 45
d = 1.660 Å, 2θ = 55.3°, rel. 22
d = 1.174 Å, 2θ = 82.1°, rel. 21

Cell and atoms:
```
CsLi2Ca2Br7
1.0
-2.874 11.516 2.874
2.874 -11.516 2.874
2.874 11.516 -2.874
Cs Li Ca Br
1 2 2 7
Direct
0.000 0.000 0.000 Cs
0.252 0.501 0.750 Li
0.751 0.501 0.250 Li
0.376 0.001 0.375 Ca
0.626 0.001 0.625 Ca
0.128 0.501 0.627 Br
0.252 0.001 0.251 Br
0.374 0.501 0.873 Br
0.501 0.001 0.500 Br
0.628 0.501 0.127 Br
0.750 0.001 0.749 Br
0.874 0.501 0.373 Br
```

---

Entry 13:
Starting from a DFT-relaxed cell (GGA-PBE, Alexandria), the PXRD pattern of CsCaMn2Br8 was simulated for Cu Kα (weighted mean of Kα1 and Kα2).
Lines closer than 0.1° are merged.

Peak list (6 most intense, 10 to 90 degrees two-theta, in order of rising 2θ)
d = 3.395 Å, 2θ = 26.2°, rel. 36
d = 3.334 Å, 2θ = 26.7°, rel. 100
d = 2.900 Å, 2θ = 30.8°, rel. 64
d = 2.065 Å, 2θ = 43.8°, rel. 38
d = 2.037 Å, 2θ = 44.5°, rel. 40
d = 1.747 Å, 2θ = 52.4°, rel. 31

Cell and atoms:
```
CsCaMn2Br8
1.0
7.056 0.000 0.000
-3.528 6.110 0.000
0.000 0.000 10.186
Cs Ca Mn Br
1 1 2 8
Direct
0.000 0.000 0.000 Cs
0.000 0.000 0.500 Ca
0.333 0.667 0.740 Mn
0.667 0.333 0.260 Mn
0.001 0.670 0.326 Br
0.330 0.001 0.674 Br
0.330 0.330 0.326 Br
0.333 0.667 0.974 Br
0.667 0.333 0.026 Br
0.670 0.670 0.674 Br
0.670 0.999 0.326 Br
0.999 0.330 0.674 Br
```